(1)
Rb2ErInO4: calculated XRD peak list (Cu Kα, 1.54184 Å), based on a DFT-relaxed cell (GGA-PBE, OQMD).
Intensities are scaled so that the largest is 100.

Atomic structure:
abc: 3.3936 3.3936 12.7998
angles: 90.00 90.00 120.00
Space group P-3m1 (No. 164)
Unique sites:
Rb: 0.3333 0.6667 0.2533 x2
Er: 0.0000 0.0000 0.0000 x1
In: 0.0000 0.0000 0.5000 x1
O: 0.3333 0.6667 0.5880 x2
O: 0.3333 0.6667 0.9102 x2

Main lines, most intense first (2θ from 15° to 90°):
hkl 1 0 2, d = 2.671 Å, 2θ 33.6, intensity 100
hkl 0 0 4, d = 3.200 Å, 2θ 27.9, intensity 37
hkl 1 0 6, d = 1.726 Å, 2θ 53.0, intensity 34
hkl 1 0 3, d = 2.420 Å, 2θ 37.1, intensity 27
hkl 1 1 0, d = 1.697 Å, 2θ 54.0, intensity 26
hkl 1 1 4, d = 1.499 Å, 2θ 61.9, intensity 24
hkl 0 1 4, d = 2.165 Å, 2θ 41.7, intensity 20
hkl 0 1 1, d = 2.864 Å, 2θ 31.2, intensity 16
hkl 0 2 2, d = 1.432 Å, 2θ 65.1, intensity 15
hkl 1 0 0, d = 2.939 Å, 2θ 30.4, intensity 13



(2)
TmAlHgSe3: calculated XRD peak list (Cu Kα, 1.54184 Å), based on a DFT-relaxed cell (GGA-PBE, OQMD).
Intensities are scaled so that the largest is 100.

Atomic structure:
abc: 3.9642 17.0625 11.0699
angles: 90.00 90.00 90.00
Space group Cmcm (No. 63)
Unique sites:
Tm: 0.0000 0.0000 0.0000 x4
Al: 0.0000 0.4532 0.2500 x4
Hg: 0.0000 0.2649 0.7500 x4
Se: 0.0000 0.0461 0.2500 x4
Se: 0.0000 0.3886 0.0612 x8

Main lines, most intense first (2θ from 15° to 90°):
hkl 0 2 2, d = 4.643 Å, 2θ 19.1, intensity 100
hkl 1 3 1, d = 3.120 Å, 2θ 28.6, intensity 96
hkl 1 3 0, d = 3.252 Å, 2θ 27.4, intensity 57
hkl 1 5 2, d = 2.343 Å, 2θ 38.4, intensity 53
hkl 1 1 3, d = 2.668 Å, 2θ 33.6, intensity 41
hkl 0 2 3, d = 3.384 Å, 2θ 26.3, intensity 41
hkl 0 0 4, d = 2.767 Å, 2θ 32.3, intensity 38
hkl 1 3 5, d = 1.830 Å, 2θ 49.8, intensity 32
hkl 0 4 4, d = 2.322 Å, 2θ 38.8, intensity 31
hkl 1 7 3, d = 1.810 Å, 2θ 50.4, intensity 29



(3)
BaSrSm2Sb2O: calculated XRD peak list (Cu Kα, 1.54184 Å), based on a DFT-relaxed cell (GGA-PBE, OQMD).
Intensities are scaled so that the largest is 100.

Atomic structure:
abc: 4.8049 4.8049 18.3051
angles: 90.00 90.00 90.00
Space group I4mm (No. 107)
Unique sites:
Ba: 0.0000 0.0000 0.0000 x2
Sr: 0.0000 0.0000 0.6558 x2
Sm: 0.0000 0.5000 0.3209 x4
Sb: 0.0000 0.0000 0.1930 x2
Sb: 0.0000 0.0000 0.4459 x2
O: 0.0000 0.0000 0.8110 x2

Main lines, most intense first (2θ from 15° to 90°):
hkl 1 1 4, d = 2.728 Å, 2θ 32.8, intensity 100
hkl 1 1 2, d = 3.185 Å, 2θ 28.0, intensity 71
hkl 2 0 0, d = 2.402 Å, 2θ 37.4, intensity 58
hkl 1 0 5, d = 2.912 Å, 2θ 30.7, intensity 35
hkl 3 1 4, d = 1.442 Å, 2θ 64.6, intensity 28
hkl 0 0 6, d = 3.051 Å, 2θ 29.3, intensity 27
hkl 2 0 6, d = 1.887 Å, 2θ 48.2, intensity 27
hkl 2 2 0, d = 1.699 Å, 2θ 54.0, intensity 20
hkl 2 1 5, d = 1.853 Å, 2θ 49.2, intensity 18
hkl 3 1 2, d = 1.499 Å, 2θ 61.9, intensity 15



(4)
Hf3Ni4Bi2P2: calculated XRD peak list (Cu Kα, 1.54184 Å), based on a DFT-relaxed cell (GGA-PBE, OQMD).
Intensities are scaled so that the largest is 100.

Atomic structure:
abc: 5.8463 5.8463 12.1782
angles: 90.00 90.00 90.00
Space group I-42m (No. 121)
Unique sites:
Hf: 0.0000 0.0000 0.0000 x2
Hf: 0.0000 0.5000 0.2500 x4
Ni: 0.2416 0.2416 0.8601 x8
Bi: 0.0000 0.5000 0.0000 x4
P: 0.0000 0.0000 0.2491 x4

Main lines, most intense first (2θ from 15° to 90°):
hkl 2 0 4, d = 2.109 Å, 2θ 42.9, intensity 100
hkl 1 1 0, d = 4.134 Å, 2θ 21.5, intensity 52
hkl 2 2 0, d = 2.067 Å, 2θ 43.8, intensity 48
hkl 2 0 0, d = 2.923 Å, 2θ 30.6, intensity 44
hkl 4 2 4, d = 1.201 Å, 2θ 79.8, intensity 33
hkl 1 1 4, d = 2.451 Å, 2θ 36.7, intensity 29
hkl 0 0 4, d = 3.045 Å, 2θ 29.3, intensity 26
hkl 1 0 1, d = 5.270 Å, 2θ 16.8, intensity 23
hkl 2 2 4, d = 1.710 Å, 2θ 53.6, intensity 20
hkl 1 1 2, d = 3.420 Å, 2θ 26.1, intensity 17



(5)
HoTm2Al3Cu2Ni: calculated XRD peak list (Cu Kα, 1.54184 Å), based on a DFT-relaxed cell (GGA-PBE, OQMD).
Intensities are scaled so that the largest is 100.

Atomic structure:
abc: 3.9729 12.0004 6.9317
angles: 90.00 90.00 90.00
Space group Amm2 (No. 38)
Unique sites:
Ho: 0.0000 0.0000 0.0000 x2
Tm: 0.0000 0.2053 0.3836 x4
Al: 0.5000 0.0000 0.3565 x2
Al: 0.5000 0.1164 0.7043 x4
Cu: 0.5000 0.1683 0.0892 x4
Ni: 0.0000 0.0000 0.5865 x2

Main lines, most intense first (2θ from 15° to 90°):
hkl 1 0 2, d = 2.611 Å, 2θ 34.3, intensity 100
hkl 1 2 2, d = 2.395 Å, 2θ 37.6, intensity 83
hkl 0 0 2, d = 3.465 Å, 2θ 25.7, intensity 39
hkl 1 2 4, d = 1.535 Å, 2θ 60.3, intensity 33
hkl 0 5 1, d = 2.268 Å, 2θ 39.7, intensity 28
hkl 0 4 0, d = 3.001 Å, 2θ 29.8, intensity 27
hkl 1 0 0, d = 3.973 Å, 2θ 22.4, intensity 27
hkl 0 2 4, d = 1.665 Å, 2θ 55.2, intensity 23
hkl 2 0 0, d = 1.986 Å, 2θ 45.7, intensity 22
hkl 0 3 3, d = 2.001 Å, 2θ 45.3, intensity 19



(6)
Pr2BiIO4: calculated XRD peak list (Cu Kα, 1.54184 Å), based on a DFT-relaxed cell (GGA-PBE, OQMD).
Intensities are scaled so that the largest is 100.

Atomic structure:
abc: 4.0872 4.0872 9.5344
angles: 90.00 90.00 90.00
Space group P4/mmm (No. 123)
Unique sites:
Pr: 0.0000 0.0000 0.2430 x2
Bi: 0.5000 0.5000 0.5000 x1
I: 0.5000 0.5000 0.0000 x1
O: 0.0000 0.5000 0.3485 x4

Main lines, most intense first (2θ from 15° to 90°):
hkl 1 0 2, d = 3.103 Å, 2θ 28.8, intensity 100
hkl 2 1 2, d = 1.707 Å, 2θ 53.7, intensity 35
hkl 1 1 0, d = 2.890 Å, 2θ 30.9, intensity 33
hkl 1 1 4, d = 1.839 Å, 2θ 49.6, intensity 26
hkl 2 0 0, d = 2.044 Å, 2θ 44.3, intensity 19
hkl 2 0 4, d = 1.551 Å, 2θ 59.6, intensity 11
hkl 2 1 6, d = 1.199 Å, 2θ 80.0, intensity 11
hkl 1 0 6, d = 1.481 Å, 2θ 62.7, intensity 11
hkl 3 1 4, d = 1.136 Å, 2θ 85.5, intensity 11
hkl 0 0 4, d = 2.384 Å, 2θ 37.7, intensity 10



(7)
Ag5CF4: calculated XRD peak list (Cu Kα, 1.54184 Å), based on a DFT-relaxed cell (GGA-PBE, OQMD).
Intensities are scaled so that the largest is 100.

Atomic structure:
abc: 7.4227 7.4227 10.2812
angles: 90.00 90.00 90.00
Space group P-4 (No. 81)
Unique sites:
Ag: 0.0000 0.5000 0.0028 x2
Ag: 0.0000 0.5000 0.2902 x2
Ag: 0.1062 0.8027 0.8450 x4
Ag: 0.1077 0.2297 0.6209 x4
Ag: 0.2593 0.5946 0.6233 x4
Ag: 0.3035 0.3791 0.8480 x4
C: 0.0399 0.4209 0.7658 x4
F: 0.0633 0.2114 0.4006 x4
F: 0.0643 0.7781 0.1026 x4
F: 0.2889 0.5514 0.3955 x4
F: 0.2952 0.4176 0.1011 x4

Main lines, most intense first (2θ from 15° to 90°):
hkl 1 2 2, d = 2.789 Å, 2θ 32.1, intensity 100
hkl 1 3 1, d = 2.288 Å, 2θ 39.4, intensity 63
hkl 2 1 1, d = 3.159 Å, 2θ 28.3, intensity 61
hkl 3 1 3, d = 1.937 Å, 2θ 46.9, intensity 40
hkl 3 1 0, d = 2.347 Å, 2θ 38.3, intensity 38
hkl 0 0 4, d = 2.570 Å, 2θ 34.9, intensity 25
hkl 4 2 0, d = 1.660 Å, 2θ 55.4, intensity 22
hkl 2 0 4, d = 2.113 Å, 2θ 42.8, intensity 22
hkl 5 0 1, d = 1.469 Å, 2θ 63.3, intensity 22
hkl 1 1 3, d = 2.870 Å, 2θ 31.2, intensity 18



(8)
NaYSnPd: calculated XRD peak list (Cu Kα, 1.54184 Å), based on a DFT-relaxed cell (GGA-PBE, OQMD).
Intensities are scaled so that the largest is 100.

Atomic structure:
abc: 7.1485 7.1485 7.1485
angles: 90.00 90.00 90.00
Space group F-43m (No. 216)
Unique sites:
Na: 0.0000 0.0000 0.0000 x4
Y: 0.0000 0.0000 0.5000 x4
Sn: 0.2500 0.2500 0.2500 x4
Pd: 0.2500 0.2500 0.7500 x4

Main lines, most intense first (2θ from 15° to 90°):
hkl 2 2 0, d = 2.527 Å, 2θ 35.5, intensity 100
hkl 4 2 2, d = 1.459 Å, 2θ 63.8, intensity 36
hkl 4 0 0, d = 1.787 Å, 2θ 51.1, intensity 18
hkl 6 2 0, d = 1.130 Å, 2θ 86.0, intensity 16
hkl 2 0 0, d = 3.574 Å, 2θ 24.9, intensity 13
hkl 4 4 0, d = 1.264 Å, 2θ 75.2, intensity 11
hkl 1 1 1, d = 4.127 Å, 2θ 21.5, intensity 9
hkl 4 2 0, d = 1.598 Å, 2θ 57.7, intensity 6
hkl 3 1 1, d = 2.155 Å, 2θ 41.9, intensity 5
hkl 2 2 2, d = 2.064 Å, 2θ 43.9, intensity 4



(9)
HgF2: calculated XRD peak list (Cu Kα, 1.54184 Å), based on a DFT-relaxed cell (GGA-PBE, OQMD).
Intensities are scaled so that the largest is 100.

Atomic structure:
abc: 4.7799 4.7799 7.5872
angles: 90.00 90.00 90.00
Space group P4_12_12 (No. 92)
Unique sites:
Hg: 0.0659 0.0659 0.0000 x4
F: 0.1323 0.2451 0.7251 x8

Main lines, most intense first (2θ from 15° to 90°):
hkl 1 0 2, d = 2.971 Å, 2θ 30.1, intensity 100
hkl 1 1 0, d = 3.380 Å, 2θ 26.4, intensity 69
hkl 2 1 2, d = 1.862 Å, 2θ 48.9, intensity 34
hkl 2 1 1, d = 2.058 Å, 2θ 44.0, intensity 29
hkl 1 0 1, d = 4.044 Å, 2θ 22.0, intensity 24
hkl 2 0 1, d = 2.280 Å, 2θ 39.5, intensity 22
hkl 1 1 4, d = 1.654 Å, 2θ 55.6, intensity 18
hkl 3 1 1, d = 1.482 Å, 2θ 62.7, intensity 16
hkl 2 1 3, d = 1.633 Å, 2θ 56.4, intensity 13
hkl 1 1 1, d = 3.087 Å, 2θ 28.9, intensity 13